# 1
This entry pairs a crystal structure of AlCuRu with its theoretical X-ray powder pattern. Radiation: Cu Kα X-rays. Structure: a DFT-relaxed cell (PBE, Alexandria).
Peak positions follow from Bragg's law for the DFT cell and can differ from measured ones.

Peak list (6 most intense, 10 to 90 degrees two-theta, sorted by position)
- d 2.912, rel. 18
- d 2.127, rel. 100
- d 2.103, rel. 24
- d 2.018, rel. 21
- d 1.456, rel. 14
- d 1.219, rel. 14

a b c (Å): 4.035 12.618 3.115
angles (deg): 90.00 90.00 90.00
Sites, in units of the cell vectors:
Al  0.000  0.170  0.000
Al  0.000  0.830  0.000
Al  0.500  0.330  0.000
Al  0.500  0.670  0.000
Cu  0.000  0.000  0.500
Cu  0.000  0.500  0.000
Cu  0.500  0.000  0.000
Cu  0.500  0.500  0.500
Ru  0.000  0.339  0.500
Ru  0.000  0.661  0.500
Ru  0.500  0.161  0.500
Ru  0.500  0.839  0.500


# 2
This entry pairs a crystal structure of Dy4TlIn5 with its theoretical X-ray powder pattern. Radiation: Cu Kα X-rays. Structure: a DFT-relaxed cell (PBE, Alexandria).
Peak positions follow from Bragg's law for the DFT cell and can differ from measured ones.

Peak list (6 most intense, 10 to 90 degrees two-theta, sorted by position)
- d 3.272, rel. 90
- d 2.889, rel. 96
- d 2.643, rel. 85
- d 2.587, rel. 100
- d 2.428, rel. 51
- d 2.374, rel. 73

a b c (Å): 7.217 10.350 7.763
angles (deg): 90.00 90.00 90.00
Sites, in units of the cell vectors:
Dy  0.001  0.250  0.193
Dy  0.250  0.067  0.509
Dy  0.250  0.433  0.509
Dy  0.499  0.250  0.193
Dy  0.501  0.750  0.807
Dy  0.750  0.567  0.491
Dy  0.750  0.933  0.491
Dy  0.999  0.750  0.807
Tl  0.250  0.750  0.466
Tl  0.750  0.250  0.534
In  0.047  0.556  0.175
In  0.047  0.944  0.175
In  0.250  0.250  0.858
In  0.453  0.556  0.175
In  0.453  0.944  0.175
In  0.547  0.056  0.825
In  0.547  0.444  0.825
In  0.750  0.750  0.142
In  0.953  0.056  0.825
In  0.953  0.444  0.825


# 3
This entry pairs a crystal structure of AcSi3OsPd with its theoretical X-ray powder pattern. Radiation: Cu Kα X-rays. Structure: a DFT-relaxed cell (PBE, Alexandria).
Peak positions follow from Bragg's law for the DFT cell and can differ from measured ones.

Peak list (6 most intense, 10 to 90 degrees two-theta, sorted by position)
- d 3.194, rel. 41
- d 3.101, rel. 33
- d 3.076, rel. 100
- d 2.225, rel. 40
- d 1.884, rel. 23
- d 1.820, rel. 23

a b c (Å): 7.139 7.139 6.202
angles (deg): 90.00 90.00 126.85
Sites, in units of the cell vectors:
Ac  0.224  0.776  0.750
Ac  0.776  0.224  0.250
Si  0.222  0.778  0.250
Si  0.297  0.297  0.000
Si  0.297  0.297  0.500
Si  0.703  0.703  0.000
Si  0.703  0.703  0.500
Si  0.778  0.222  0.750
Os  0.398  0.602  0.250
Os  0.602  0.398  0.750
Pd  0.045  0.955  0.250
Pd  0.955  0.045  0.750


# 4
This entry pairs a crystal structure of CaCe4Tl5 with its theoretical X-ray powder pattern. Radiation: Cu Kα X-rays. Structure: a DFT-relaxed cell (PBE, Alexandria).
Peak positions follow from Bragg's law for the DFT cell and can differ from measured ones.

Peak list (6 most intense, 10 to 90 degrees two-theta, sorted by position)
- d 2.804, rel. 100
- d 2.488, rel. 36
- d 2.322, rel. 15
- d 1.759, rel. 13
- d 1.697, rel. 23
- d 1.490, rel. 30

a b c (Å): 3.519 3.519 23.216
angles (deg): 90.00 90.00 90.00
Sites, in units of the cell vectors:
Ca  0.000  0.000  0.000
Ce  0.000  0.000  0.199
Ce  0.000  0.000  0.400
Ce  0.000  0.000  0.600
Ce  0.000  0.000  0.801
Tl  0.500  0.500  0.099
Tl  0.500  0.500  0.300
Tl  0.500  0.500  0.500
Tl  0.500  0.500  0.700
Tl  0.500  0.500  0.901